No. 1
Computed powder diffractogram of Rb3Al2H9 for Cu Kα (weighted mean of Kα1 and Kα2), from DFT lattice parameters and positions (PBE).

The 8 most intense peaks (2θ = 10–80°), in order of rising 2θ:
2θ (°)  intensity
21.38  70
25.54  64
30.33  100
30.48  40
35.94  22
40.06  21
49.10  22
53.94  34

Crystal structure
```
Rb3Al2H9
1.0
5.8930 0.0000 0.0000
-2.9465 5.1035 0.0000
0.0000 0.0000 14.3312
Rb Al H
6 4 18
direct
0.0000 0.0000 0.2500
0.0000 0.0000 0.7500
0.3333 0.6667 0.0805
0.3333 0.6667 0.4195
0.6667 0.3333 0.5805
0.6667 0.3333 0.9195
0.3333 0.6667 0.6594
0.3333 0.6667 0.8406
0.6667 0.3333 0.1594
0.6667 0.3333 0.3406
0.0703 0.5352 0.7500
0.1887 0.3773 0.6025
0.1887 0.3773 0.8975
0.1887 0.8113 0.6025
0.1887 0.8113 0.8975
0.3773 0.1887 0.1025
0.3773 0.1887 0.3975
0.4648 0.5352 0.7500
0.4648 0.9297 0.7500
0.5352 0.0703 0.2500
0.5352 0.4648 0.2500
0.6227 0.8113 0.6025
0.6227 0.8113 0.8975
0.8113 0.1887 0.1025
0.8113 0.1887 0.3975
0.8113 0.6227 0.1025
0.8113 0.6227 0.3975
0.9297 0.4648 0.2500
```

No. 2
Computed powder diffractogram of Rb2AlH5 for Cu Kα (weighted mean of Kα1 and Kα2), from DFT lattice parameters and positions (PBE).

The 8 most intense peaks (2θ = 10–80°), in order of rising 2θ:
2θ (°)  intensity
20.51  72
22.90  28
29.16  58
30.93  100
37.40  36
41.71  23
52.82  42
68.46  22

Crystal structure
```
Rb2AlH5
1.0
-3.0625 3.0625 3.8829
3.0625 -3.0625 3.8829
3.0625 3.0625 -3.8829
Rb Al H
2 1 5
direct
0.0000 0.5000 0.5000
0.5000 0.0000 0.5000
0.2205 0.2205 0.0000
0.0078 0.0078 0.0000
0.0698 0.0698 0.6078
0.0698 0.4621 0.0000
0.4621 0.0698 0.0000
0.4621 0.4621 0.3922
```

No. 3
Computed powder diffractogram of RbAlSbH2 for Cu Kα (weighted mean of Kα1 and Kα2), from DFT lattice parameters and positions (PBE).

The 8 most intense peaks (2θ = 10–80°), in order of rising 2θ:
2θ (°)  intensity
19.60  52
28.23  34
30.52  52
30.92  100
34.60  64
37.30  29
48.93  27
51.68  23

Crystal structure
```
RbAlSbH2
1.0
2.4109 -6.6094 0.0000
2.4109 6.6094 0.0000
0.0000 0.0000 6.3229
Rb Al Sb H
2 2 2 4
direct
0.2210 0.7790 0.7500
0.7790 0.2210 0.2500
0.5000 0.5000 0.0000
0.5000 0.5000 0.5000
0.0496 0.9504 0.2500
0.9504 0.0496 0.7500
0.3775 0.6225 0.0473
0.3775 0.6225 0.4527
0.6225 0.3775 0.5473
0.6225 0.3775 0.9527
```

No. 4
Computed powder diffractogram of AlReH5 for Cu Kα (weighted mean of Kα1 and Kα2), from DFT lattice parameters and positions (PBE).

The 8 most intense peaks (2θ = 10–80°), in order of rising 2θ:
2θ (°)  intensity
21.44  100
25.05  33
31.22  55
33.59  27
35.20  22
42.04  26
42.36  46
47.75  33

Crystal structure
```
AlReH5
1.0
-1.5651 2.5497 3.5546
1.5651 -2.5497 3.5546
1.5651 2.5497 -3.5546
Al Re H
1 1 5
direct
0.0000 0.0000 0.0000
0.6712 0.1712 0.5000
0.0513 0.2210 0.8303
0.3906 0.2210 0.1697
0.4627 0.2016 0.7389
0.4627 0.7238 0.2611
0.9191 0.4191 0.5000
```

No. 5
Computed powder diffractogram of Al2ReH4 for Cu Kα (weighted mean of Kα1 and Kα2), from DFT lattice parameters and positions (PBE).

The 8 most intense peaks (2θ = 10–80°), in order of rising 2θ:
2θ (°)  intensity
23.06  68
23.72  100
24.74  44
27.95  34
38.01  40
39.69  25
40.17  60
45.49  26

Crystal structure
```
Al2ReH4
1.0
4.5000 0.0000 0.0000
0.0000 4.5416 0.0000
-0.4965 0.0000 6.6575
Al Re H
4 2 8
direct
0.1922 0.2500 0.0601
0.2989 0.2500 0.4914
0.7011 0.7500 0.5086
0.8078 0.7500 0.9399
0.1984 0.7500 0.2588
0.8016 0.2500 0.7412
0.0960 0.0220 0.7502
0.0960 0.4780 0.7502
0.1332 0.7500 0.5045
0.4422 0.7500 0.0642
0.5578 0.2500 0.9358
0.8668 0.2500 0.4955
0.9040 0.5220 0.2498
0.9040 0.9780 0.2498
```

No. 6
Computed powder diffractogram of SrAlH8Rh2 for Cu Kα (weighted mean of Kα1 and Kα2), from DFT lattice parameters and positions (PBE).

The 8 most intense peaks (2θ = 10–80°), in order of rising 2θ:
2θ (°)  intensity
22.52  36
30.27  100
34.14  77
38.45  92
49.69  24
52.35  21
62.68  25
64.53  22

Crystal structure
```
SrAlH8Rh2
1.0
2.3415 1.3519 5.7444
-2.3415 1.3519 5.7444
0.0000 -2.7038 5.7444
Sr Al H Rh
1 1 8 2
direct
0.0000 0.0000 0.0000
0.5000 0.5000 0.5000
0.1217 0.5630 0.5630
0.3064 0.3064 0.3064
0.4370 0.4370 0.8783
0.4370 0.8783 0.4370
0.5630 0.1217 0.5630
0.5630 0.5630 0.1217
0.6936 0.6936 0.6936
0.8783 0.4370 0.4370
0.2138 0.2138 0.2138
0.7862 0.7862 0.7862
```

No. 7
Computed powder diffractogram of AlSnH6Ru2 for Cu Kα (weighted mean of Kα1 and Kα2), from DFT lattice parameters and positions (PBE).

The 8 most intense peaks (2θ = 10–80°), in order of rising 2θ:
2θ (°)  intensity
20.55  82
32.69  77
33.95  37
34.51  78
38.69  36
38.90  100
40.45  36
45.16  34

Crystal structure
```
AlSnH6Ru2
1.0
3.7309 -4.5992 0.0000
3.7309 4.5992 0.0000
-1.3865 0.0000 5.2808
Al Sn H Ru
2 2 12 4
direct
0.1255 0.8745 0.7500
0.8745 0.1255 0.2500
0.4161 0.5839 0.2500
0.5839 0.4161 0.7500
0.1405 0.5628 0.7127
0.1521 0.8333 0.4056
0.1618 0.2676 0.5212
0.1667 0.8479 0.0944
0.2676 0.1618 0.0212
0.4372 0.8595 0.7873
0.5628 0.1405 0.2127
0.7324 0.8382 0.9788
0.8333 0.1521 0.9056
0.8382 0.7324 0.4788
0.8479 0.1667 0.5944
0.8595 0.4372 0.2873
0.1029 0.3159 0.8391
0.3159 0.1029 0.3391
0.6841 0.8971 0.6609
0.8971 0.6841 0.1609
```

No. 8
Computed powder diffractogram of Ta2AlHRu for Cu Kα (weighted mean of Kα1 and Kα2), from DFT lattice parameters and positions (PBE).

The 8 most intense peaks (2θ = 10–80°), in order of rising 2θ:
2θ (°)  intensity
22.27  22
30.79  19
38.33  100
44.10  34
45.43  16
65.17  21
77.25  26
79.17  12

Crystal structure
```
Ta2AlHRu
1.0
4.1070 0.0000 0.0000
0.0000 4.1070 0.0000
0.0000 0.0000 3.9926
Ta Al H Ru
2 1 1 1
direct
0.0000 0.5000 0.0000
0.5000 0.0000 0.0000
0.0000 0.0000 0.5000
0.5000 0.5000 0.0000
0.5000 0.5000 0.5000
```

No. 9
Computed powder diffractogram of TiAlHRu2 for Cu Kα (weighted mean of Kα1 and Kα2), from DFT lattice parameters and positions (PBE).

The 8 most intense peaks (2θ = 10–80°), in order of rising 2θ:
2θ (°)  intensity
25.24  20
30.77  23
40.20  100
44.07  39
51.83  12
64.09  12
70.33  18
78.42  27

Crystal structure
```
TiAlHRu2
1.0
4.1096 0.0000 0.0000
0.0000 4.1096 0.0000
0.0000 0.0000 3.5281
Ti Al H Ru
1 1 1 2
direct
0.0000 0.0000 0.0000
0.5000 0.5000 0.0000
0.0000 0.0000 0.5000
0.0000 0.5000 0.5000
0.5000 0.0000 0.5000
```

No. 10
Computed powder diffractogram of Al2HS3 for Cu Kα (weighted mean of Kα1 and Kα2), from DFT lattice parameters and positions (PBE).

The 8 most intense peaks (2θ = 10–80°), in order of rising 2θ:
2θ (°)  intensity
17.27  42
23.15  28
30.63  40
35.40  100
40.49  21
41.35  28
44.34  21
53.09  27

Crystal structure
```
Al2HS3
1.0
3.3755 0.0000 0.0000
0.0000 10.0345 0.0000
0.0000 0.0000 5.9745
Al H S
4 2 6
direct
0.0000 0.0008 0.0000
0.0000 0.9992 0.5000
0.5000 0.3418 0.3924
0.5000 0.6582 0.8924
0.5000 0.4584 0.1816
0.5000 0.5416 0.6816
0.0000 0.1876 0.2559
0.0000 0.4024 0.6373
0.0000 0.5976 0.1373
0.0000 0.8124 0.7559
0.5000 0.1004 0.7513
0.5000 0.8996 0.2513
```

No. 11
Computed powder diffractogram of AlSiH2S4 for Cu Kα (weighted mean of Kα1 and Kα2), from DFT lattice parameters and positions (PBE).

The 8 most intense peaks (2θ = 10–80°), in order of rising 2θ:
2θ (°)  intensity
12.00  100
19.01  68
28.18  65
28.37  44
29.61  72
31.91  65
45.04  46
54.01  36

Crystal structure
```
AlSiH2S4
1.0
7.0141 0.0000 0.0000
0.0000 7.3735 0.0000
0.0000 0.0000 6.0337
Al Si H S
2 2 4 8
direct
0.0000 0.1492 0.0000
0.5000 0.8508 0.5000
0.0000 0.8479 0.4987
0.5000 0.1521 0.9987
0.2504 0.1282 0.6313
0.2496 0.8718 0.1313
0.7496 0.1282 0.6313
0.7504 0.8718 0.1313
0.0000 0.1314 0.6162
0.0000 0.8578 0.1324
0.2396 0.6968 0.6027
0.2604 0.3032 0.1027
0.5000 0.1422 0.6324
0.5000 0.8686 0.1162
0.7396 0.3032 0.1027
0.7604 0.6968 0.6027
```

No. 12
Computed powder diffractogram of Al2SbH6 for Cu Kα (weighted mean of Kα1 and Kα2), from DFT lattice parameters and positions (PBE).

The 8 most intense peaks (2θ = 10–80°), in order of rising 2θ:
2θ (°)  intensity
20.66  100
23.90  17
34.05  86
40.16  54
48.93  17
53.65  23
60.95  31
65.09  17

Crystal structure
```
Al2SbH6
1.0
0.0000 3.7232 3.7232
3.7232 0.0000 3.7232
3.7232 3.7232 0.0000
Al Sb H
2 1 6
direct
0.2500 0.2500 0.2500
0.7500 0.7500 0.7500
0.0000 0.0000 0.0000
0.2537 0.2537 0.7463
0.2537 0.7463 0.2537
0.2537 0.7463 0.7463
0.7463 0.2537 0.2537
0.7463 0.2537 0.7463
0.7463 0.7463 0.2537
```